Simulated XRD peak list of LaTb3Tm5 for Cu Ka, from a DFT-relaxed cell (PBE, Alexandria).
No peak broadening, texture or thermal motion is included.

The 10 most intense peaks (10 to 90 degrees two-theta), most intense first:
Position (°2θ), intensity
32.19, 100
30.54, 56
28.70, 30
31.57, 22
29.85, 21
38.31, 19
55.33, 19
54.47, 18
36.36, 17
67.34, 14

Lattice parameters (Å, degrees): 10.000 10.000 11.165 111.92 111.92 34.84
Positions (direct):
1 La 0.138 0.862 0.750
2 La 0.862 0.138 0.250
3 Tb 0.000 0.000 0.000
4 Tb 0.000 0.000 0.500
5 Tb 0.050 0.594 0.637
6 Tb 0.406 0.950 0.863
7 Tb 0.594 0.050 0.137
8 Tb 0.950 0.406 0.363
9 Tm 0.088 0.571 0.969
10 Tm 0.094 0.579 0.305
11 Tm 0.373 0.627 0.250
12 Tm 0.421 0.906 0.195
13 Tm 0.429 0.912 0.531
14 Tm 0.571 0.088 0.469
15 Tm 0.579 0.094 0.805
16 Tm 0.627 0.373 0.750
17 Tm 0.906 0.421 0.695
18 Tm 0.912 0.429 0.031